1.
# CrCoIr4
Simulated XRD peak list, Cu Kα X-rays. Input: a crystal structure in Alexandria, relaxed with GGA-PBE.
Intensities are scaled so that the largest is 100.

```
CrCoIr4
1.0
0.0000 4.3905 7.1256
2.7111 0.0000 7.1256
2.7111 4.3905 0.0000
Cr Co Ir
2 2 8
Direct
0.1250 0.1250 0.1250
0.8750 0.8750 0.8750
0.3750 0.3750 0.3750
0.6250 0.6250 0.6250
0.0258 0.5290 0.2250
0.2250 0.7202 0.0258
0.2798 0.7750 0.4710
0.4710 0.9742 0.2798
0.5290 0.0258 0.7202
0.7202 0.2250 0.5290
0.7750 0.2798 0.9742
0.9742 0.4710 0.7750
```

Top 10 peaks for 2θ from 10° to 80°, in order of rising 2θ:
Position (°2θ)	d (Å)	Rel. int.
24.99	3.563	59
35.43	2.534	31
39.05	2.307	71
41.12	2.195	57
43.31	2.089	75
46.92	1.936	100
51.13	1.787	23
67.61	1.386	21
69.32	1.356	26
79.07	1.211	21

2.
# SmZn2
Simulated XRD peak list, Cu Kα X-rays. Input: a crystal structure in Alexandria, relaxed with GGA-PBE.
Intensities are scaled so that the largest is 100.

```
SmZn2
1.0
0.0000 3.9130 3.9130
3.9130 0.0000 3.9130
3.9130 3.9130 0.0000
Sm Zn
2 4
Direct
0.1250 0.1250 0.1250
0.8750 0.8750 0.8750
0.0000 0.5000 0.5000
0.5000 0.0000 0.5000
0.5000 0.5000 0.0000
0.5000 0.5000 0.5000
```

Top 10 peaks for 2θ from 10° to 80°, in order of rising 2θ:
Position (°2θ)	d (Å)	Rel. int.
19.65	4.518	7
32.36	2.767	55
38.14	2.360	100
39.91	2.259	19
50.86	1.795	2
57.71	1.597	21
61.58	1.506	32
67.73	1.383	24
71.29	1.323	1
77.07	1.237	9

3.
# Rb2CrInS4
Simulated XRD peak list, Cu Kα X-rays. Input: a crystal structure in Alexandria, relaxed with GGA-PBE.
Intensities are scaled so that the largest is 100.

```
Rb2CrInS4
1.0
-3.9861 4.1445 5.7585
3.9861 -4.1445 5.7585
3.9861 4.1445 -5.7585
Rb Cr In S
4 2 2 8
Direct
0.0000 0.0000 0.0000
0.5000 0.0000 0.0000
0.5000 0.0000 0.5000
0.5000 0.5000 0.5000
0.0000 0.0000 0.5000
0.0000 0.5000 0.0000
0.0000 0.5000 0.5000
0.5000 0.5000 0.0000
0.1776 0.7352 0.4424
0.2073 0.2648 0.9424
0.2189 0.2510 0.5322
0.2189 0.6867 0.9678
0.7811 0.3133 0.0322
0.7811 0.7490 0.4678
0.7927 0.7352 0.0576
0.8224 0.2648 0.5576
```

Top 10 peaks for 2θ from 10° to 80°, in order of rising 2θ:
Position (°2θ)	d (Å)	Rel. int.
26.50	3.364	26
27.21	3.277	22
31.11	2.875	100
43.68	2.072	11
44.55	2.034	43
45.51	1.993	11
52.23	1.752	11
53.44	1.715	9
54.56	1.682	10
56.12	1.639	11

What is the formula in the third record? Rb2CrInS4